Theoretical X-ray diffraction stick pattern
Compound: ZnCuMo2O8
Radiation: CuKα
Structure: a structure optimized by DFT (GGA+U)
Lines closer than 0.1° are merged.

Crystal structure
```
ZnCuMo2O8
1.0
6.9187 0.0000 0.0000
-1.6367 8.4136 0.0000
-2.8558 -2.4600 9.3481
Zn Cu Mo O
3 3 6 24
Cartesian
0.0000 0.0000 0.0000
-1.4818 0.4860 5.2607
0.4907 1.4329 7.4600
0.0741 6.2945 1.7545
0.4481 4.9208 7.2156
3.7348 2.5940 3.5150
-3.0683 5.2565 6.1930
-2.8869 1.1834 8.4472
0.2610 3.1973 4.1341
1.9866 -0.2701 4.8566
3.4619 0.8011 0.3325
3.5587 5.7010 1.1743
-3.0886 6.8764 5.4244
-2.8693 -0.4378 9.2203
-1.2669 2.1446 3.9228
0.1176 4.9390 0.3206
-1.5745 1.3196 7.1637
-1.5229 5.0716 7.0698
-0.0783 4.7102 3.3348
0.2959 8.2703 0.4018
-0.0697 7.5601 3.2366
0.5389 0.7303 5.5205
0.5451 3.5608 5.8899
0.3225 -0.2593 8.6417
1.7566 2.5048 3.4021
2.0632 6.4148 1.8754
0.6324 6.7822 5.9128
0.4066 2.8913 8.7827
0.4068 5.7710 8.9938
3.8998 1.3370 1.9544
3.5301 0.6737 4.7883
3.9028 4.1897 1.9841
2.5138 1.3563 7.5523
2.4846 5.1040 7.4370
3.6972 3.9888 4.9549
5.0672 6.7952 1.3314
```

Largest 10 diffraction maxima, low angle first, 10° ≤ 2θ ≤ 90°:
| h k l | d (Å) | 2θ (°) | I (rel.) |
| --- | --- | --- | --- |
| 0 1 1 | 5.485 | 16.16 | 18 |
| 1 -2 0 | 3.924 | 22.66 | 21 |
| 0 1 2 | 3.670 | 24.25 | 84 |
| 0 2 -2 | 3.548 | 25.10 | 100 |
| 2 0 -1 | 3.395 | 26.25 | 42 |
| -2 1 1 | 3.357 | 26.55 | 29 |
| -1 2 2 | 2.944 | 30.36 | 23 |
| 2 -2 1 | 2.690 | 33.31 | 28 |
| 2 1 -3 | 2.590 | 34.64 | 17 |
| -4 1 2 | 1.726 | 53.07 | 22 |